1.
Starting from the GGA+U geometry in the Materials Project, the powder X-ray diffraction pattern of Ho5MgMo2O12 was computed for Cu Kα (weighted mean of Kα1 and Kα2).

Cell and atoms:
```
20
Lattice="5.9037 0.0000 0.0000 -2.8208 6.4677 0.0000 -0.0842 -2.1630 7.1026" Properties=species:S:1:pos:R:3 pbc="T T T"
Ho 0.0000 0.0000 0.0000
Ho -2.8429 5.3470 3.6028
Ho 0.0909 3.4377 4.6514
Ho 0.1125 4.5821 1.4151
Ho 2.8969 1.3010 2.4990
Mg 3.0708 3.8690 1.2078
Mo 1.5506 0.5015 6.0241
Mo 4.3696 0.5208 6.0053
O -1.5521 2.4588 6.9050
O -1.4480 3.6084 2.8146
O 0.1123 2.2735 0.2619
O 0.0419 1.0845 4.6834
O 1.3856 -1.5309 5.3621
O 1.4247 -0.1854 1.9687
O 1.6605 3.5421 2.7876
O 1.5871 2.4589 6.8732
O 3.0194 2.1110 0.3694
O 2.9123 1.0084 4.6080
O 4.4505 -1.5287 5.3205
O 4.4266 -0.2008 1.9855
```

The 10 most intense peaks (2θ = 5–70°), by angle:
d [Å], Position (°2θ), Rel. int.
3.410, 26.13, 99
3.353, 26.58, 100
3.158, 28.25, 95
3.127, 28.55, 97
2.951, 30.29, 44
2.766, 32.37, 53
2.753, 32.52, 71
2.266, 39.78, 34
2.063, 43.89, 47
1.856, 49.08, 42

---

2.
Starting from the GGA+U geometry in the Materials Project, the powder X-ray diffraction pattern of Ho5MgMo2O12 was computed for Cu Kα (weighted mean of Kα1 and Kα2).

Cell and atoms:
```
20
Lattice="6.2047 -3.0507 0.0000 6.2047 3.0507 0.0000 -2.0644 0.0000 6.9423" Properties=species:S:1:pos:R:3 pbc="T T T"
Ho 0.0000 0.0000 0.0000
Ho 3.3026 0.0000 0.9873
Ho 2.3703 0.0000 4.4584
Ho 7.9748 0.0000 2.4839
Ho 7.0425 0.0000 5.9550
Mg 6.2047 0.0000 0.0000
Mo 5.1725 1.5546 3.4711
Mo 5.1725 -1.5546 3.4711
O -0.5284 0.0000 2.1545
O 3.2072 1.3861 2.7567
O 2.5306 1.4242 6.5322
O 7.8145 1.4242 0.4101
O 7.1379 1.3861 4.1856
O 4.6826 0.0000 4.9269
O 5.6625 0.0000 2.0154
O 3.2072 -1.3861 2.7567
O 2.5306 -1.4242 6.5322
O 7.8145 -1.4242 0.4101
O 7.1379 -1.3861 4.1856
O 10.8735 0.0000 4.7877
```

The 10 most intense peaks (2θ = 5–70°), by angle:
d [Å], Position (°2θ), Rel. int.
3.325, 26.82, 80
3.114, 28.67, 100
3.051, 29.27, 26
2.974, 30.05, 32
2.766, 32.37, 21
2.714, 33.00, 22
2.683, 33.39, 25
2.664, 33.64, 26
1.810, 50.41, 35
1.773, 51.54, 22

---

3.
Starting from the GGA+U geometry in the Materials Project, the powder X-ray diffraction pattern of Ho5MgMo2O12 was computed for Cu Kα (weighted mean of Kα1 and Kα2).

Cell and atoms:
```
20
Lattice="6.0202 0.0000 0.0000 -2.4127 6.1007 0.0000 -0.7833 -2.4189 7.4094" Properties=species:S:1:pos:R:3 pbc="T T T"
Ho 0.0000 0.0000 0.0000
Ho -2.4634 4.7655 3.4963
Ho 0.5682 4.0736 1.2452
Ho 0.6194 2.9883 4.3647
Ho 3.5063 1.4796 2.3801
Mg 2.0839 -2.2276 6.9640
Mo 1.4648 0.3829 5.9718
Mo 4.3205 0.3656 5.9087
O -1.7099 2.2033 6.8618
O -0.9458 3.2440 2.6909
O -0.1043 0.8125 4.6032
O -0.1558 -0.1836 7.2559
O 1.5690 -1.5861 5.1686
O 2.0837 0.0663 1.4179
O 1.0663 2.4143 6.7146
O 2.0450 3.1999 2.6978
O 2.9372 1.0288 4.5363
O 2.9938 -0.4340 7.3302
O 4.5679 -1.6372 5.2040
O 4.9139 -0.2001 1.8849
```

The 10 most intense peaks (2θ = 5–70°), by angle:
d [Å], Position (°2θ), Rel. int.
3.425, 26.01, 92
3.354, 26.57, 100
3.148, 28.35, 97
3.124, 28.58, 96
2.989, 29.90, 53
2.844, 31.45, 47
2.758, 32.46, 82
2.733, 32.77, 89
1.933, 47.01, 44
1.722, 53.19, 42

---

4.
Starting from the GGA+U geometry in the Materials Project, the powder X-ray diffraction pattern of HoMgW2O6 was computed for Cu Kα (weighted mean of Kα1 and Kα2).

Cell and atoms:
```
20
Lattice="5.4392 0.0000 0.0000 0.0000 8.0083 0.0000 -0.0918 0.0000 5.6488" Properties=species:S:1:pos:R:3 pbc="T T T"
Ho 0.0000 0.0000 0.0000
Ho 2.6777 4.0042 2.1917
Mg -0.0418 4.0042 5.1133
Mg 2.7272 0.0000 2.6974
W -0.0008 2.0033 2.5200
W -0.0008 6.0050 2.5200
W 2.6750 1.9993 5.2965
W 2.6750 6.0090 5.2965
O 0.7806 0.0000 2.0998
O 1.0534 2.5909 0.6805
O 1.0534 5.4174 0.6805
O 1.7784 2.5479 3.5677
O 1.7784 5.4604 3.5677
O 1.9760 0.0000 4.8284
O 3.5298 4.0042 0.0720
O 3.6469 1.4268 1.4311
O 3.6469 6.5815 1.4311
O 4.3648 1.4326 4.2917
O 4.3648 6.5757 4.2917
O 4.7363 4.0042 3.0471
```

The 10 most intense peaks (2θ = 5–70°), by angle:
d [Å], Position (°2θ), Rel. int.
4.499, 19.73, 22
2.824, 31.68, 44
2.812, 31.82, 100
2.789, 32.09, 98
2.719, 32.94, 44
2.002, 45.29, 23
1.633, 56.33, 38
1.612, 57.13, 22
1.591, 57.95, 23
1.579, 58.46, 22

---

5.
Starting from the GGA+U geometry in the Materials Project, the powder X-ray diffraction pattern of Ho2MnNiO6 was computed for Cu Kα (weighted mean of Kα1 and Kα2).

Cell and atoms:
```
20
Lattice="5.2596 0.0000 0.0000 0.0000 5.6025 0.0000 -5.1611 0.0000 7.5750" Properties=species:S:1:pos:R:3 pbc="T T T"
Ho -0.0878 0.3960 1.8707
Ho -2.6683 2.4053 5.6582
Ho 2.7669 3.1973 1.9168
Ho 0.1864 5.2065 5.7043
Mn 2.6298 0.0000 0.0000
Mn 0.0493 2.8013 3.7875
Ni -2.5805 0.0000 3.7875
Ni 0.0000 2.8013 0.0000
O -4.1073 1.0559 7.1821
O -1.5267 1.7454 3.3946
O -3.5121 3.9728 7.1085
O -0.9316 4.4310 3.3210
O -1.9628 0.2329 5.7396
O 0.6177 2.5683 1.9521
O -0.5192 3.0342 5.6230
O 2.0614 5.3696 1.8355
O 1.0302 1.1715 4.2540
O 3.6107 1.6298 0.4665
O 1.6253 3.8572 4.1805
O 4.2058 4.5466 0.3929
```

The 10 most intense peaks (2θ = 5–70°), by angle:
d [Å], Position (°2θ), Rel. int.
3.834, 23.20, 37
3.788, 23.49, 27
3.434, 25.94, 24
3.408, 26.15, 24
2.801, 31.95, 35
2.707, 33.09, 100
2.682, 33.41, 99
2.629, 34.11, 79
1.917, 47.42, 32
1.894, 48.04, 28

---

6.
Starting from the GGA+U geometry in the Materials Project, the powder X-ray diffraction pattern of Ho2Mn2O7 was computed for Cu Kα (weighted mean of Kα1 and Kα2).

Cell and atoms:
```
22
Lattice="0.0000 5.0023 5.0023 5.0023 0.0000 5.0023 5.0023 5.0023 0.0000" Properties=species:S:1:pos:R:3 pbc="T T T"
Ho 0.0000 0.0000 0.0000
Ho 2.5011 2.5011 0.0000
Ho 2.5011 0.0000 2.5011
Ho 0.0000 2.5011 2.5011
Mn 5.0023 2.5011 2.5011
Mn 2.5011 5.0023 2.5011
Mn 2.5011 2.5011 5.0023
Mn 5.0023 5.0023 5.0023
O 1.2506 1.2506 1.2506
O 3.7517 3.7517 1.6951
O 3.7517 1.6951 3.7517
O 5.8083 3.7517 3.7517
O 6.2528 6.2528 4.1962
O 6.2528 4.1962 6.2528
O 8.3095 6.2528 6.2528
O 1.6951 3.7517 3.7517
O 3.7517 5.8083 3.7517
O 3.7517 3.7517 5.8083
O 4.1962 6.2528 6.2528
O 6.2528 8.3095 6.2528
O 6.2528 6.2528 8.3095
O 8.7540 8.7540 8.7540
```

The 10 most intense peaks (2θ = 5–70°), by angle:
d [Å], Position (°2θ), Rel. int.
5.776, 15.34, 25
3.016, 29.61, 14
2.888, 30.96, 100
2.501, 35.90, 30
2.295, 39.25, 18
1.925, 47.21, 9
1.769, 51.69, 47
1.691, 54.24, 8
1.508, 61.48, 41
1.444, 64.53, 9

---

7.
Starting from the GGA+U geometry in the Materials Project, the powder X-ray diffraction pattern of HoMn2O4 was computed for Cu Kα (weighted mean of Kα1 and Kα2).

Cell and atoms:
```
14
Lattice="5.6780 -3.0994 0.0000 5.6780 3.0994 0.0000 -3.3979 0.0000 5.2492" Properties=species:S:1:pos:R:3 pbc="T T T"
Ho 0.1032 0.0000 2.0378
Ho 7.8548 0.0000 3.2114
Mn 2.8390 1.5497 0.0000
Mn 2.8390 -1.5497 0.0000
Mn 5.6780 0.0000 0.0000
Mn 3.9790 0.0000 2.6246
O 2.0686 0.0000 1.1574
O 0.3252 0.0000 4.1729
O 4.6823 1.3755 1.3991
O 3.2757 1.3755 3.8501
O 4.6823 -1.3755 1.3991
O 3.2757 -1.3755 3.8501
O 7.6328 0.0000 1.0763
O 5.8894 0.0000 4.0918
```

The 10 most intense peaks (2θ = 5–70°), by angle:
d [Å], Position (°2θ), Rel. int.
3.244, 27.50, 71
3.224, 27.67, 71
3.099, 28.81, 32
2.826, 31.66, 83
2.685, 33.38, 35
2.671, 33.55, 100
2.663, 33.65, 43
1.821, 50.10, 37
1.622, 56.76, 35
1.612, 57.14, 35

---

8.
Starting from the GGA+U geometry in the Materials Project, the powder X-ray diffraction pattern of SrHoMn2O6 was computed for Cu Kα (weighted mean of Kα1 and Kα2).

Cell and atoms:
```
20
Lattice="7.6615 0.0000 0.0000 0.0000 5.5779 0.0000 0.0000 0.0000 5.4477" Properties=species:S:1:pos:R:3 pbc="T T T"
Sr 0.0000 1.2401 0.0000
Sr 3.8308 4.3378 2.7239
Ho 0.0000 3.8400 2.6128
Ho 3.8308 1.7380 5.3366
Mn 1.9082 4.2188 5.4261
Mn 1.9225 1.3591 2.7023
Mn 5.7390 1.3591 2.7023
Mn 5.7533 4.2188 5.4261
O 0.0000 1.5733 3.0169
O 0.0000 4.2594 4.8726
O 1.5372 5.2955 1.6339
O 1.6374 2.6656 1.2112
O 2.1934 2.9123 3.9350
O 2.2935 0.2824 4.3577
O 3.8308 1.3186 2.1488
O 3.8308 4.0046 0.2931
O 5.3680 0.2824 4.3577
O 5.4681 2.9123 3.9350
O 6.0241 2.6656 1.2112
O 6.1243 5.2955 1.6339
```

The 10 most intense peaks (2θ = 5–70°), by angle:
d [Å], Position (°2θ), Rel. int.
3.897, 22.82, 11
2.789, 32.09, 21
2.732, 32.78, 100
2.724, 32.88, 26
2.220, 40.64, 11
1.949, 46.61, 25
1.915, 47.47, 15
1.574, 58.65, 22
1.567, 58.95, 11
1.366, 68.72, 13